For Al2O3, a GGA-PBE-relaxed structure gives the computed powder X-ray diffraction pattern in this record (Cu Kα, 1.54184 Å).
Neutral-atom scattering factors, no anomalous dispersion.

The 6 most intense peaks (15° ≤ 2θ ≤ 90°), in order of falling intensity:
19.9 deg, 4.461 Å, I = 1000
21.2 deg, 4.190 Å, I = 451
18.7 deg, 4.753 Å, I = 413
18.5 deg, 4.800 Å, I = 346
40.4 deg, 2.233 Å, I = 319
28.0 deg, 3.185 Å, I = 290

Crystal structure
Cell lengths 5.2232, 5.3455, 20.0077 Å; angles 91.32, 96.44, 115.74 degrees
Fractional positions:
Al: 0.0000 0.0000 0.0000
Al: 0.0042 0.4971 0.9646
Al: 0.0425 0.3985 0.6639
Al: 0.0782 0.1402 0.1624
Al: 0.2063 0.6413 0.3317
Al: 0.2419 0.1608 0.4169
Al: 0.4301 0.4946 0.8977
Al: 0.4552 0.2630 0.5820
Al: 0.5179 0.0974 0.0628
Al: 0.6450 0.1069 0.2284
Al: 0.6763 0.6164 0.2615
Al: 0.8956 0.5413 0.8086
O: 0.0287 0.5648 0.7355
O: 0.0789 0.8601 0.3656
O: 0.1449 0.6074 0.8797
O: 0.1987 0.2624 0.9491
O: 0.2126 0.1565 0.0846
O: 0.2403 0.7898 0.0188
O: 0.2958 0.1551 0.5019
O: 0.3518 0.4284 0.6392
O: 0.3584 0.4664 0.3806
O: 0.4053 0.2916 0.2182
O: 0.4733 0.8114 0.2780
O: 0.5520 0.4307 0.8250
O: 0.7382 0.2017 0.6109
O: 0.7495 0.1882 0.1406
O: 0.7549 0.6742 0.9547
O: 0.7695 0.1919 0.0041
O: 0.8681 0.8880 0.2126
O: 0.8809 0.4176 0.2802

For LaY3S6, a GGA-PBE-relaxed structure gives the computed powder X-ray diffraction pattern in this record (Cu Kα, 1.54184 Å).
Neutral-atom scattering factors, no anomalous dispersion.

The 6 most intense peaks (15° ≤ 2θ ≤ 90°), in order of falling intensity:
30.7 deg, 2.917 Å, I = 1000
23.9 deg, 3.716 Å, I = 854
41.8 deg, 2.160 Å, I = 805
23.4 deg, 3.807 Å, I = 719
33.9 deg, 2.648 Å, I = 710
45.0 deg, 2.012 Å, I = 534

Crystal structure
Cell lengths 11.1487, 4.0249, 11.4222 Å; angles 90.00, 108.86, 90.00 degrees
Fractional positions:
La: 0.0507 0.2500 0.1956
La: 0.9493 0.7500 0.8044
Y: 0.1611 0.2500 0.5874
Y: 0.3203 0.7500 0.9992
Y: 0.4441 0.2500 0.3336
Y: 0.5559 0.7500 0.6664
Y: 0.6797 0.2500 0.0008
Y: 0.8389 0.7500 0.4126
S: 0.0821 0.7500 0.4067
S: 0.1193 0.2500 0.9632
S: 0.1970 0.7500 0.7486
S: 0.2678 0.7500 0.2299
S: 0.3929 0.2500 0.5563
S: 0.4792 0.2500 0.1123
S: 0.5208 0.7500 0.8877
S: 0.6071 0.7500 0.4437
S: 0.7322 0.2500 0.7701
S: 0.8030 0.2500 0.2514
S: 0.8807 0.7500 0.0368
S: 0.9179 0.2500 0.5933

For LiFeCl4, a GGA-PBE-relaxed structure gives the computed powder X-ray diffraction pattern in this record (Cu Kα, 1.54184 Å).
Neutral-atom scattering factors, no anomalous dispersion.

The 6 most intense peaks (15° ≤ 2θ ≤ 90°), in order of falling intensity:
18.8 deg, 4.727 Å, I = 1000
18.1 deg, 4.912 Å, I = 773
26.6 deg, 3.355 Å, I = 671
46.6 deg, 1.947 Å, I = 577
29.1 deg, 3.069 Å, I = 563
30.0 deg, 2.975 Å, I = 504

Crystal structure
Cell lengths 7.1589, 6.7630, 13.2751 Å; angles 90.00, 93.48, 90.00 degrees
Fractional positions:
Li: 0.1572 0.0174 0.3653
Li: 0.1572 0.4826 0.8653
Li: 0.8428 0.5174 0.1347
Li: 0.8428 0.9826 0.6347
Fe: 0.2911 0.1754 0.6014
Fe: 0.2911 0.3246 0.1014
Fe: 0.7089 0.6754 0.8986
Fe: 0.7089 0.8246 0.3986
Cl: 0.0726 0.1807 0.1900
Cl: 0.0726 0.3193 0.6900
Cl: 0.1849 0.6279 0.0703
Cl: 0.1849 0.8721 0.5703
Cl: 0.3029 0.1891 0.9508
Cl: 0.3029 0.3109 0.4508
Cl: 0.4327 0.6798 0.8157
Cl: 0.4327 0.8202 0.3157
Cl: 0.5673 0.1798 0.6843
Cl: 0.5673 0.3202 0.1843
Cl: 0.6971 0.6891 0.5492
Cl: 0.6971 0.8109 0.0492
Cl: 0.8151 0.1279 0.4297
Cl: 0.8151 0.3721 0.9297
Cl: 0.9274 0.6807 0.3100
Cl: 0.9274 0.8193 0.8100

For BaCo2N2, a GGA-PBE-relaxed structure gives the computed powder X-ray diffraction pattern in this record (Cu Kα, 1.54184 Å).
Neutral-atom scattering factors, no anomalous dispersion.

The 6 most intense peaks (15° ≤ 2θ ≤ 90°), in order of falling intensity:
28.5 deg, 3.133 Å, I = 1000
35.4 deg, 2.533 Å, I = 352
47.2 deg, 1.925 Å, I = 280
63.2 deg, 1.472 Å, I = 226
39.4 deg, 2.284 Å, I = 213
64.5 deg, 1.444 Å, I = 167

Crystal structure
Cell lengths 6.2773, 6.2773, 6.2773 Å; angles 121.98, 121.98, 86.60 degrees
Fractional positions:
Ba: 0.2500 0.2500 0.0000
Ba: 0.7500 0.7500 0.0000
Co: 0.1324 0.6324 0.7647
Co: 0.3676 0.1324 0.5000
Co: 0.6324 0.8676 0.5000
Co: 0.8676 0.3676 0.2353
N: 0.1637 0.3363 0.5000
N: 0.3363 0.8363 0.1725
N: 0.6637 0.1637 0.8275
N: 0.8363 0.6637 0.5000

For Ba3LaIr2O9, a GGA-PBE-relaxed structure gives the computed powder X-ray diffraction pattern in this record (Cu Kα, 1.54184 Å).
Neutral-atom scattering factors, no anomalous dispersion.

The 6 most intense peaks (15° ≤ 2θ ≤ 90°), in order of falling intensity:
29.7 deg, 3.013 Å, I = 1000
29.1 deg, 3.068 Å, I = 578
42.0 deg, 2.150 Å, I = 319
18.0 deg, 4.934 Å, I = 260
52.3 deg, 1.750 Å, I = 215
52.6 deg, 1.739 Å, I = 204

Crystal structure
Cell lengths 6.0256, 6.0256, 15.1690 Å; angles 90.00, 90.00, 120.00 degrees
Fractional positions:
Ba: 0.0000 0.0000 0.2500
Ba: 0.0000 0.0000 0.7500
Ba: 0.3333 0.6667 0.1026
Ba: 0.3333 0.6667 0.3974
Ba: 0.6667 0.3333 0.6026
Ba: 0.6667 0.3333 0.8974
La: 0.0000 0.0000 0.0000
La: 0.0000 0.0000 0.5000
Ir: 0.3333 0.6667 0.6667
Ir: 0.3333 0.6667 0.8333
Ir: 0.6667 0.3333 0.1667
Ir: 0.6667 0.3333 0.3333
O: 0.0187 0.5093 0.7500
O: 0.1789 0.3578 0.5924
O: 0.1789 0.3578 0.9076
O: 0.1789 0.8211 0.5924
O: 0.1789 0.8211 0.9076
O: 0.3578 0.1789 0.0924
O: 0.3578 0.1789 0.4076
O: 0.4907 0.5093 0.7500
O: 0.4907 0.9813 0.7500
O: 0.5093 0.0187 0.2500
O: 0.5093 0.4907 0.2500
O: 0.6422 0.8211 0.5924
O: 0.6422 0.8211 0.9076
O: 0.8211 0.1789 0.0924
O: 0.8211 0.1789 0.4076
O: 0.8211 0.6422 0.0924
O: 0.8211 0.6422 0.4076
O: 0.9813 0.4907 0.2500

For Eu2MgS4, a GGA-PBE-relaxed structure gives the computed powder X-ray diffraction pattern in this record (Cu Kα, 1.54184 Å).
Neutral-atom scattering factors, no anomalous dispersion.

The 6 most intense peaks (15° ≤ 2θ ≤ 90°), in order of falling intensity:
26.1 deg, 3.418 Å, I = 1000
34.3 deg, 2.618 Å, I = 945
25.1 deg, 3.543 Å, I = 889
38.9 deg, 2.315 Å, I = 871
40.6 deg, 2.224 Å, I = 668
32.0 deg, 2.794 Å, I = 483

Crystal structure
Cell lengths 7.3535, 7.3535, 7.3535 Å; angles 111.50, 111.50, 105.49 degrees
Fractional positions:
Eu: 0.0065 0.6250 0.8815
Eu: 0.3750 0.2565 0.3815
Eu: 0.7435 0.1250 0.1185
Eu: 0.8750 0.9935 0.6185
Mg: 0.2500 0.7500 0.5000
Mg: 0.5000 0.5000 0.0000
S: 0.0088 0.8801 0.2704
S: 0.1199 0.3903 0.1287
S: 0.1403 0.3699 0.6287
S: 0.2616 0.9912 0.8713
S: 0.4884 0.8597 0.2296
S: 0.6097 0.7384 0.7296
S: 0.6301 0.2588 0.7704
S: 0.7412 0.5116 0.3713

For K2YCuCl6, a GGA-PBE-relaxed structure gives the computed powder X-ray diffraction pattern in this record (Cu Kα, 1.54184 Å).
Neutral-atom scattering factors, no anomalous dispersion.

The 6 most intense peaks (15° ≤ 2θ ≤ 90°), in order of falling intensity:
34.7 deg, 2.588 Å, I = 1000
24.3 deg, 3.660 Å, I = 703
17.1 deg, 5.175 Å, I = 664
49.8 deg, 1.830 Å, I = 638
38.9 deg, 2.315 Å, I = 313
42.8 deg, 2.113 Å, I = 306

Crystal structure
Cell lengths 7.3191, 7.3191, 7.3191 Å; angles 60.00, 60.00, 60.00 degrees
Fractional positions:
K: 0.2500 0.2500 0.2500
K: 0.7500 0.7500 0.7500
Y: 0.0000 0.0000 0.0000
Cu: 0.5000 0.5000 0.5000
Cl: 0.2545 0.2545 0.7455
Cl: 0.2545 0.7455 0.2545
Cl: 0.2545 0.7455 0.7455
Cl: 0.7455 0.2545 0.2545
Cl: 0.7455 0.2545 0.7455
Cl: 0.7455 0.7455 0.2545

For NaNiN, a GGA-PBE-relaxed structure gives the computed powder X-ray diffraction pattern in this record (Cu Kα, 1.54184 Å).
Neutral-atom scattering factors, no anomalous dispersion.

The 6 most intense peaks (15° ≤ 2θ ≤ 90°), in order of falling intensity:
18.4 deg, 4.821 Å, I = 1000
20.0 deg, 4.435 Å, I = 651
42.2 deg, 2.140 Å, I = 553
32.9 deg, 2.719 Å, I = 354
34.1 deg, 2.629 Å, I = 349
44.0 deg, 2.060 Å, I = 233

Crystal structure
Cell lengths 8.8706, 3.4418, 5.7426 Å; angles 90.00, 90.00, 90.00 degrees
Fractional positions:
Na: 0.1630 0.2500 0.0672
Na: 0.3370 0.7500 0.5672
Na: 0.6630 0.2500 0.4328
Na: 0.8370 0.7500 0.9328
Ni: 0.0509 0.2500 0.6117
Ni: 0.4491 0.7500 0.1117
Ni: 0.5509 0.2500 0.8883
Ni: 0.9491 0.7500 0.3883
N: 0.0694 0.7500 0.6944
N: 0.4306 0.2500 0.1944
N: 0.5694 0.7500 0.8056
N: 0.9306 0.2500 0.3056

For K2DyF5, a GGA-PBE-relaxed structure gives the computed powder X-ray diffraction pattern in this record (Cu Kα, 1.54184 Å).
Neutral-atom scattering factors, no anomalous dispersion.

The 6 most intense peaks (15° ≤ 2θ ≤ 90°), in order of falling intensity:
15.5 deg, 5.735 Å, I = 1000
29.0 deg, 3.080 Å, I = 730
27.6 deg, 3.231 Å, I = 596
16.0 deg, 5.529 Å, I = 504
29.3 deg, 3.047 Å, I = 457
40.0 deg, 2.255 Å, I = 341

Crystal structure
Cell lengths 11.0588, 7.3030, 6.7074 Å; angles 90.00, 90.00, 90.00 degrees
Fractional positions:
K: 0.1722 0.0023 0.0279
K: 0.1722 0.4977 0.0279
K: 0.3278 0.5023 0.5279
K: 0.3278 0.9977 0.5279
K: 0.6722 0.0023 0.4721
K: 0.6722 0.4977 0.4721
K: 0.8278 0.5023 0.9721
K: 0.8278 0.9977 0.9721
Dy: 0.0012 0.2500 0.5641
Dy: 0.4988 0.7500 0.0641
Dy: 0.5012 0.2500 0.9359
Dy: 0.9988 0.7500 0.4359
F: 0.0132 0.2500 0.8930
F: 0.0782 0.5336 0.6431
F: 0.0782 0.9664 0.6431
F: 0.1612 0.2500 0.3680
F: 0.1904 0.7500 0.3355
F: 0.3096 0.2500 0.8355
F: 0.3388 0.7500 0.8680
F: 0.4218 0.0336 0.1431
F: 0.4218 0.4664 0.1431
F: 0.4868 0.7500 0.3930
F: 0.5132 0.2500 0.6070
F: 0.5782 0.5336 0.8569
F: 0.5782 0.9664 0.8569
F: 0.6612 0.2500 0.1320
F: 0.6904 0.7500 0.1645
F: 0.8096 0.2500 0.6645
F: 0.8388 0.7500 0.6320
F: 0.9218 0.0336 0.3569
F: 0.9218 0.4664 0.3569
F: 0.9868 0.7500 0.1070

For Ba2NdNbO6, a GGA-PBE-relaxed structure gives the computed powder X-ray diffraction pattern in this record (Cu Kα, 1.54184 Å).
Neutral-atom scattering factors, no anomalous dispersion.

The 6 most intense peaks (15° ≤ 2θ ≤ 90°), in order of falling intensity:
29.1 deg, 3.071 Å, I = 1000
51.5 deg, 1.773 Å, I = 420
41.6 deg, 2.172 Å, I = 289
83.2 deg, 1.161 Å, I = 220
68.3 deg, 1.374 Å, I = 183
60.3 deg, 1.536 Å, I = 177

Crystal structure
Cell lengths 8.6871, 8.6871, 8.6871 Å; angles 90.00, 90.00, 90.00 degrees
Fractional positions:
Ba: 0.2500 0.2500 0.2500
Ba: 0.2500 0.2500 0.7500
Ba: 0.2500 0.7500 0.2500
Ba: 0.2500 0.7500 0.7500
Ba: 0.7500 0.2500 0.2500
Ba: 0.7500 0.2500 0.7500
Ba: 0.7500 0.7500 0.2500
Ba: 0.7500 0.7500 0.7500
Nd: 0.0000 0.0000 0.0000
Nd: 0.0000 0.5000 0.5000
Nd: 0.5000 0.0000 0.5000
Nd: 0.5000 0.5000 0.0000
Nb: 0.0000 0.0000 0.5000
Nb: 0.0000 0.5000 0.0000
Nb: 0.5000 0.0000 0.0000
Nb: 0.5000 0.5000 0.5000
O: 0.0225 0.5251 0.7690
O: 0.0225 0.9749 0.7310
O: 0.0251 0.2310 0.5225
O: 0.0251 0.2690 0.9775
O: 0.2310 0.5225 0.0251
O: 0.2310 0.9775 0.4749
O: 0.2690 0.5225 0.4749
O: 0.2690 0.9775 0.0251
O: 0.4749 0.2310 0.9775
O: 0.4749 0.2690 0.5225
O: 0.4775 0.5251 0.7310
O: 0.4775 0.9749 0.7690
O: 0.5225 0.0251 0.2310
O: 0.5225 0.4749 0.2690
O: 0.5251 0.7310 0.4775
O: 0.5251 0.7690 0.0225
O: 0.7310 0.0225 0.9749
O: 0.7310 0.4775 0.5251
O: 0.7690 0.0225 0.5251
O: 0.7690 0.4775 0.9749
O: 0.9749 0.7310 0.0225
O: 0.9749 0.7690 0.4775
O: 0.9775 0.0251 0.2690
O: 0.9775 0.4749 0.2310